For BaBe2In2O6, DFT lattice parameters and positions (GGA-PBE) gives the computed X-ray diffraction stick pattern in this record (Cu Kα).

Principal peaks in the range 10 to 90 degrees two-theta, in order of rising 2θ:
- 5.058 Å, 17.53°, I = 100.0
- 3.419 Å, 26.06°, I = 29.2
- 3.264 Å, 27.33°, I = 30.6
- 3.246 Å, 27.48°, I = 43.1
- 3.164 Å, 28.21°, I = 37.2
- 3.121 Å, 28.60°, I = 33.0
- 2.802 Å, 31.93°, I = 70.5
- 2.457 Å, 36.58°, I = 30.8

Crystal structure
```
data_BaBe2In2O6
_cell_length_a 5.6150
_cell_length_b 5.6383
_cell_length_c 6.6656
_cell_angle_alpha 68.61
_cell_angle_beta 65.25
_cell_angle_gamma 87.37
_symmetry_space_group_name_H-M 'P -1'
_symmetry_Int_Tables_number 2
_symmetry_space_group_name_Hall '-P 1'
loop_
_atom_site_label
_atom_site_type_symbol
_atom_site_fract_x
_atom_site_fract_y
_atom_site_fract_z
Ba1 Ba 0.0000 0.0000 0.0000
Be1 Be 0.4104 0.2574 0.3221
In1 In 0.1243 0.7251 0.5485
O1 O 0.2127 0.3679 0.5084
O2 O 0.2438 0.0938 0.2630
O3 O 0.2918 0.7201 0.7712
```